Simulated powder XRD pattern
Compound: Li2Cu3F8
Radiation: Cu Ka
Structure: a crystal structure in Alexandria, relaxed with GGA-PBE
Peak positions follow from Bragg's law for the DFT cell and can differ from measured ones.

Peak list (8 most intense, 10° ≤ 2θ ≤ 80°, by intensity)
2θ/deg	I (rel.)	h k l
26.93	100	1 0 -1
19.50	75	1 1 0
17.68	59	0 1 0
36.88	47	2 0 1
31.83	33	1 -1 1
23.64	30	1 1 1
45.10	27	2 2 -1
35.82	23	1 1 2

Atomic structure:
a b c (Å): 5.468 5.499 5.635
angles (deg): 89.15 78.19 66.17
Positions (direct):
Li (0.000, 0.000, 0.000)
Li (0.469, 0.299, 0.708)
Cu (0.085, 0.486, 0.235)
Cu (0.392, 0.873, 0.468)
Cu (0.746, 0.583, 0.813)
F (0.178, 0.248, 0.948)
F (0.186, 0.805, 0.265)
F (0.249, 0.712, 0.739)
F (0.342, 0.246, 0.398)
F (0.659, 0.903, 0.636)
F (0.677, 0.299, 0.957)
F (0.783, 0.415, 0.501)
F (0.785, 0.743, 0.105)